Diffraction record for KDy2CuSe4. The X-ray powder pattern is theoretical, not measured: it uses a DFT-relaxed cell (PBE, Alexandria) and Cu Kα (λ = 1.5418 Å).
Intensities are scaled so that the largest is 100.

Structural model:
Cell lengths 7.338, 7.338, 14.378 Å; angles 90.00, 90.00, 147.44 degrees
Atoms (fractional coordinates):
K1 0.113 0.887 0.750
K2 0.887 0.113 0.250
Dy1 0.366 0.634 0.565
Dy2 0.366 0.634 0.935
Dy3 0.634 0.366 0.065
Dy4 0.634 0.366 0.435
Cu1 0.160 0.840 0.250
Cu2 0.840 0.160 0.750
Se1 0.000 0.000 0.000
Se2 0.000 0.000 0.500
Se3 0.265 0.735 0.112
Se4 0.265 0.735 0.388
Se5 0.436 0.564 0.750
Se6 0.564 0.436 0.250
Se7 0.735 0.265 0.612
Se8 0.735 0.265 0.888

The 12 most intense peaks (10° ≤ 2θ ≤ 90°), in order of rising 2θ:
2theta, I/Imax
12.31, 27
14.00, 79
22.47, 47
27.87, 32
28.85, 30
29.53, 59
31.47, 100
33.67, 45
38.73, 34
42.91, 38
43.26, 72
44.01, 37

Diffraction record for RbH2F4. The X-ray powder pattern is theoretical, not measured: it uses a DFT-relaxed cell (PBE, Alexandria) and Cu Kα (λ = 1.5418 Å).
Intensities are scaled so that the largest is 100.

Structural model:
Cell lengths 5.209, 5.211, 9.446 Å; angles 74.42, 74.51, 62.03 degrees
Atoms (fractional coordinates):
Rb1 0.000 0.000 0.000
Rb2 0.190 0.807 0.500
H1 0.394 0.275 0.276
H2 0.476 0.237 0.805
H3 0.721 0.610 0.725
H4 0.764 0.523 0.195
F1 0.156 0.564 0.270
F2 0.412 0.288 0.906
F3 0.432 0.848 0.729
F4 0.554 0.072 0.288
F5 0.591 0.149 0.658
F6 0.712 0.588 0.094
F7 0.854 0.407 0.342
F8 0.924 0.450 0.715

The 12 most intense peaks (10° ≤ 2θ ≤ 90°), in order of rising 2θ:
2theta, I/Imax
19.57, 57
20.94, 39
23.40, 47
23.95, 66
25.48, 100
30.27, 35
33.31, 55
34.88, 68
35.91, 90
39.11, 32
40.01, 32
41.84, 33

Diffraction record for SrReIr. The X-ray powder pattern is theoretical, not measured: it uses a DFT-relaxed cell (PBE, Alexandria) and Cu Kα (λ = 1.5418 Å).
Intensities are scaled so that the largest is 100.

Structural model:
Cell lengths 4.613, 4.613, 6.803 Å; angles 90.00, 90.00, 90.00 degrees
Atoms (fractional coordinates):
Sr1 0.250 0.250 0.146
Sr2 0.750 0.750 0.854
Re1 0.250 0.750 0.500
Re2 0.750 0.250 0.500
Ir1 0.250 0.250 0.647
Ir2 0.750 0.750 0.353

The 12 most intense peaks (10° ≤ 2θ ≤ 90°), in order of rising 2θ:
2theta, I/Imax
13.01, 100
30.39, 14
32.71, 55
38.23, 34
39.05, 51
41.33, 24
48.92, 20
51.83, 30
56.41, 18
61.48, 23
70.20, 11
88.25, 18

Diffraction record for Ca8CuHg2. The X-ray powder pattern is theoretical, not measured: it uses a DFT-relaxed cell (PBE, Alexandria) and Cu Kα (λ = 1.5418 Å).
Intensities are scaled so that the largest is 100.

Structural model:
Cell lengths 9.840, 9.840, 7.347 Å; angles 106.05, 106.05, 31.53 degrees
Atoms (fractional coordinates):
Ca1 0.028 0.028 0.292
Ca2 0.207 0.207 0.811
Ca3 0.340 0.340 0.534
Ca4 0.406 0.406 0.059
Ca5 0.594 0.594 0.941
Ca6 0.660 0.660 0.466
Ca7 0.793 0.793 0.189
Ca8 0.972 0.972 0.708
Cu1 0.500 0.500 0.500
Hg1 0.185 0.185 0.217
Hg2 0.815 0.815 0.783

The 12 most intense peaks (10° ≤ 2θ ≤ 90°), in order of rising 2θ:
2theta, I/Imax
18.04, 68
20.01, 57
20.58, 97
22.21, 100
29.57, 49
29.76, 85
30.46, 40
31.99, 75
33.52, 73
34.35, 77
37.35, 44
40.69, 44

Diffraction record for HoSc5Co2. The X-ray powder pattern is theoretical, not measured: it uses a DFT-relaxed cell (PBE, Alexandria) and Cu Kα (λ = 1.5418 Å).
Intensities are scaled so that the largest is 100.

Structural model:
Cell lengths 6.143, 6.143, 16.688 Å; angles 90.00, 90.00, 147.04 degrees
Atoms (fractional coordinates):
Ho1 0.148 0.852 0.750
Ho2 0.852 0.148 0.250
Sc1 0.120 0.880 0.250
Sc2 0.157 0.843 0.547
Sc3 0.157 0.843 0.953
Sc4 0.433 0.567 0.601
Sc5 0.433 0.567 0.899
Sc6 0.567 0.433 0.101
Sc7 0.567 0.433 0.399
Sc8 0.843 0.157 0.047
Sc9 0.843 0.157 0.453
Sc10 0.880 0.120 0.750
Co1 0.232 0.768 0.124
Co2 0.232 0.768 0.376
Co3 0.768 0.232 0.624
Co4 0.768 0.232 0.876

The 12 most intense peaks (10° ≤ 2θ ≤ 90°), in order of rising 2θ:
2theta, I/Imax
10.60, 39
15.04, 38
21.98, 26
30.80, 42
32.20, 38
34.39, 100
34.84, 25
37.38, 39
38.11, 69
40.84, 26
47.83, 22
62.15, 22